The following is a theoretical X-ray diffraction stick pattern of LiMn16O32. It was derived from a DFT-relaxed cell (PBE+U, the Materials Project), using Cu Ka.
Peak positions follow from Bragg's law for the DFT cell and can differ from measured ones.

Crystal structure
abc: 10.259 5.787 19.181
angles: 90.00 98.41 90.00
Space group Cm (No. 8)
Symmetry-distinct sites (fractional):
Li (0.000, 0.000, 0.000) x2
Mn (0.028, 0.250, 0.349) x4
Mn (0.029, 0.500, 0.596) x2
Mn (0.030, 0.500, 0.098) x2
Mn (0.031, 0.253, 0.849) x4
Mn (0.143, 0.000, 0.478) x2
Mn (0.159, 0.500, 0.968) x2
Mn (0.261, 0.000, 0.754) x2
Mn (0.277, 0.000, 0.350) x2
Mn (0.280, 0.249, 0.098) x4
Mn (0.281, 0.254, 0.596) x4
Mn (0.404, 0.000, 0.224) x2
Mn (0.413, 0.500, 0.718) x2
O (0.070, 0.500, 0.288) x2
O (0.083, 0.000, 0.787) x2
O (0.084, 0.500, 0.796) x2
O (0.098, 0.000, 0.298) x2
O (0.106, 0.274, 0.041) x4
O (0.111, 0.249, 0.541) x4
O (0.192, 0.262, 0.911) x4
O (0.199, 0.220, 0.408) x4
O (0.211, 0.500, 0.149) x2
O (0.222, 0.000, 0.653) x2
O (0.232, 0.500, 0.655) x2
O (0.238, 0.000, 0.158) x2
O (0.325, 0.000, 0.538) x2
O (0.326, 0.500, 0.038) x2
O (0.330, 0.500, 0.543) x2
O (0.350, 0.000, 0.047) x2
O (0.355, 0.222, 0.291) x4
O (0.365, 0.268, 0.784) x4
O (0.448, 0.249, 0.652) x4
O (0.453, 0.223, 0.156) x4
O (0.458, 0.000, 0.400) x2
O (0.475, 0.500, 0.899) x2
O (0.482, 0.500, 0.409) x2
O (0.487, 0.000, 0.909) x2

Most intense lines, 10 to 90 degrees two-theta, in order of rising 2θ:
2θ (°)	d_spacing	intensity	index
18.58	4.774	100	2 0 -2
18.71	4.743	36	0 0 4
20.59	4.314	13	1 1 2
36.35	2.472	39	0 2 4
42.81	2.112	33	4 0 4
44.38	2.041	59	2 2 -6
63.19	1.471	19	6 2 -2
63.54	1.464	19	2 2 10


The following is a theoretical X-ray diffraction stick pattern of Li4Mn3O7. It was derived from a DFT-relaxed cell (PBE+U, the Materials Project), using Cu Ka.
Peak positions follow from Bragg's law for the DFT cell and can differ from measured ones.

Crystal structure
abc: 19.575 2.878 9.886
angles: 90.00 111.12 90.00
Space group C2/m (No. 12)
Symmetry-distinct sites (fractional):
Li (0.000, 0.000, 0.000) x2
Li (0.000, 0.500, 0.500) x2
Li (0.068, 0.000, 0.790) x4
Li (0.137, 0.500, 0.065) x4
Li (0.208, 0.000, 0.346) x4
Mn (0.064, 0.500, 0.269) x4
Mn (0.141, 0.000, 0.562) x4
Mn (0.213, 0.500, 0.854) x4
O (0.025, 0.500, 0.875) x4
O (0.037, 0.000, 0.375) x4
O (0.104, 0.000, 0.188) x4
O (0.108, 0.500, 0.658) x4
O (0.168, 0.500, 0.455) x4
O (0.178, 0.000, 0.948) x4
O (0.249, 0.000, 0.761) x4

Most intense lines, 10 to 90 degrees two-theta, in order of rising 2θ:
2θ (°)	d_spacing	intensity	index
18.32	4.843	100	4 0 -1
33.96	2.640	17	2 0 3
36.17	2.483	23	1 1 -2
41.00	2.201	34	6 0 2
44.12	2.053	57	5 1 -3
58.18	1.586	10	9 1 -4
61.44	1.509	15	1 1 5
62.15	1.494	16	11 1 -1


The following is a theoretical X-ray diffraction stick pattern of Li13Mn2O9. It was derived from a DFT-relaxed cell (PBE+U, the Materials Project), using Cu Ka.
Peak positions follow from Bragg's law for the DFT cell and can differ from measured ones.

Crystal structure
abc: 5.690 8.223 10.039
angles: 89.98 90.00 88.42
Space group P1 (No. 1)
Symmetry-distinct sites (fractional):
Li (0.000, 0.000, 0.000) x1
Li (0.001, 0.464, 0.655) x1
Li (0.016, 0.464, 0.359) x1
Li (0.149, 0.645, 0.183) x1
Li (0.155, 0.641, 0.829) x1
Li (0.163, 0.147, 0.515) x1
Li (0.286, 0.270, 0.011) x1
Li (0.288, 0.787, 0.643) x1
Li (0.319, 0.794, 0.357) x1
Li (0.322, 0.281, 0.697) x1
Li (0.332, 0.791, 0.003) x1
Li (0.351, 0.250, 0.321) x1
Li (0.450, 0.002, 0.172) x1
Li (0.477, 0.464, 0.159) x1
Li (0.485, 0.468, 0.858) x1
Li (0.534, 0.998, 0.514) x1
Li (0.648, 0.156, 0.009) x1
Li (0.649, 0.629, 0.682) x1
Li (0.668, 0.625, 0.332) x1
Li (0.783, 0.793, 0.143) x1
Li (0.794, 0.275, 0.516) x1
Li (0.807, 0.798, 0.852) x1
Li (0.820, 0.279, 0.195) x1
Li (0.825, 0.271, 0.812) x1
Li (0.843, 0.773, 0.515) x1
Li (0.953, 0.999, 0.685) x1
Mn (0.438, 0.473, 0.504) x1
Mn (0.449, 0.998, 0.818) x1
Mn (0.934, 0.480, 0.005) x1
Mn (0.946, 0.991, 0.329) x1
O (0.000, 0.228, 0.661) x1
O (0.011, 0.213, 0.347) x1
O (0.122, 0.888, 0.176) x1
O (0.123, 0.908, 0.493) x1
O (0.135, 0.875, 0.837) x1
O (0.263, 0.561, 0.008) x1
O (0.327, 0.550, 0.687) x1
O (0.332, 0.560, 0.323) x1
O (0.470, 0.224, 0.506) x1
O (0.491, 0.236, 0.854) x1
O (0.496, 0.229, 0.161) x1
O (0.633, 0.908, 0.999) x1
O (0.640, 0.866, 0.670) x1
O (0.669, 0.864, 0.334) x1
O (0.796, 0.539, 0.505) x1
O (0.834, 0.543, 0.832) x1
O (0.839, 0.538, 0.181) x1
O (0.949, 0.248, 0.006) x1

Most intense lines, 10 to 90 degrees two-theta, in order of rising 2θ:
2θ (°)	d_spacing	intensity	index
17.93	4.948	32	1 0 -1
20.73	4.284	100	0 1 -2
21.18	4.195	76	-1 1 1
21.62	4.110	33	0 2 0
31.01	2.884	27	1 0 -3
33.06	2.710	76	2 1 0
55.25	1.663	32	-1 4 3
55.73	1.649	31	3 0 -3


The following is a theoretical X-ray diffraction stick pattern of Li4Mn3O7. It was derived from a DFT-relaxed cell (PBE+U, the Materials Project), using Cu Ka.
Peak positions follow from Bragg's law for the DFT cell and can differ from measured ones.

Crystal structure
abc: 5.075 5.093 10.489
angles: 101.82 95.47 100.69
Space group P-1 (No. 2)
Symmetry-distinct sites (fractional):
Li (0.000, 0.000, 0.000) x1
Li (0.000, 0.000, 0.500) x1
Li (0.141, 0.287, 0.291) x2
Li (0.266, 0.572, 0.565) x2
Li (0.420, 0.859, 0.851) x2
Mn (0.133, 0.288, 0.775) x2
Mn (0.292, 0.571, 0.074) x2
Mn (0.435, 0.853, 0.366) x2
O (0.053, 0.622, 0.889) x2
O (0.102, 0.651, 0.394) x2
O (0.228, 0.958, 0.684) x2
O (0.229, 0.905, 0.196) x2
O (0.370, 0.237, 0.971) x2
O (0.381, 0.188, 0.473) x2
O (0.479, 0.476, 0.740) x2

Most intense lines, 10 to 90 degrees two-theta, in order of rising 2θ:
2θ (°)	d_spacing	intensity	index
18.31	4.845	100	0 1 -1
34.10	2.630	17	1 0 3
36.22	2.480	12	2 0 -1
36.34	2.472	12	-1 1 3
40.94	2.205	34	1 -1 4
44.26	2.046	28	-1 2 2
44.31	2.044	28	2 1 -2
61.93	1.498	8	0 1 6